(1)
Structure and simulated X-ray powder pattern of Pm6InRu (a crystal structure in Alexandria, relaxed with PBE; Cu Kα (weighted mean of Kα1 and Kα2)).
Intensities are scaled so that the largest is 100.

Atomic structure:
a = 9.6748 Å, b = 9.6748 Å, c = 9.6748 Å
α = 149.14°, β = 149.14°, γ = 44.21°
Atoms (fractional coordinates):
Pm 0.1024 0.6024 0.5000
Pm 0.2480 0.2480 0.0000
Pm 0.3976 0.8976 0.5000
Pm 0.6024 0.1024 0.5000
Pm 0.7520 0.7520 0.0000
Pm 0.8976 0.3976 0.5000
In 0.0000 0.0000 0.0000
Ru 0.5000 0.5000 0.0000

The 10 most intense peaks (10° ≤ 2θ ≤ 90°), by angle:
| Position (°2θ) | Rel. int. |
| --- | --- |
| 26.42 | 9 |
| 29.90 | 8 |
| 31.66 | 100 |
| 34.85 | 46 |
| 39.00 | 8 |
| 46.57 | 9 |
| 50.11 | 16 |
| 54.27 | 12 |
| 57.28 | 8 |
| 60.50 | 31 |

(2)
Structure and simulated X-ray powder pattern of CaPmCo (a crystal structure in Alexandria, relaxed with PBE; Cu Kα (weighted mean of Kα1 and Kα2)).
Intensities are scaled so that the largest is 100.

Atomic structure:
a = 7.5002 Å, b = 7.2378 Å, c = 6.7761 Å
α = 90.00°, β = 112.58°, γ = 90.00°
Atoms (fractional coordinates):
Ca 0.2025 0.1824 0.0170
Ca 0.2025 0.3176 0.5170
Ca 0.7975 0.6824 0.4830
Ca 0.7975 0.8176 0.9830
Pm 0.3269 0.6763 0.9571
Pm 0.3269 0.8237 0.4571
Pm 0.6731 0.1763 0.5429
Pm 0.6731 0.3237 0.0429
Co 0.4721 0.0404 0.8218
Co 0.4721 0.4596 0.3218
Co 0.5279 0.5404 0.6782
Co 0.5279 0.9596 0.1782

The 10 most intense peaks (10° ≤ 2θ ≤ 90°), by angle:
| Position (°2θ) | Rel. int. |
| --- | --- |
| 12.78 | 100 |
| 17.73 | 39 |
| 28.55 | 59 |
| 28.94 | 17 |
| 32.76 | 46 |
| 33.59 | 44 |
| 35.89 | 18 |
| 38.05 | 36 |
| 40.39 | 17 |
| 55.89 | 18 |

(3)
Structure and simulated X-ray powder pattern of HoEr4 (a crystal structure in Alexandria, relaxed with PBE; Cu Kα (weighted mean of Kα1 and Kα2)).
Intensities are scaled so that the largest is 100.

Atomic structure:
a = 3.5024 Å, b = 3.5024 Å, c = 14.3896 Å
α = 96.87°, β = 96.87°, γ = 60.05°
Atoms (fractional coordinates):
Ho 0.0000 0.0000 0.0000
Er 0.2000 0.2000 0.6000
Er 0.3993 0.3993 0.2003
Er 0.6007 0.6007 0.7997
Er 0.8000 0.8000 0.4000

The 10 most intense peaks (10° ≤ 2θ ≤ 90°), by angle:
| Position (°2θ) | Rel. int. |
| --- | --- |
| 31.28 | 100 |
| 31.38 | 33 |
| 36.31 | 67 |
| 52.22 | 24 |
| 52.35 | 24 |
| 62.16 | 33 |
| 62.28 | 19 |
| 65.26 | 12 |
| 85.42 | 12 |
| 88.35 | 11 |

(4)
Structure and simulated X-ray powder pattern of KNdAsO4 (a crystal structure in Alexandria, relaxed with PBE; Cu Kα (weighted mean of Kα1 and Kα2)).
Intensities are scaled so that the largest is 100.

Atomic structure:
a = 6.7921 Å, b = 6.7921 Å, c = 6.7921 Å
α = 123.07°, β = 117.00°, γ = 90.02°
Atoms (fractional coordinates):
K 0.5000 0.0000 0.0000
K 0.5000 0.5000 0.5000
Nd 0.0000 0.0000 0.0000
Nd 0.5000 0.0000 0.5000
As 0.1089 0.3589 0.7500
As 0.8911 0.6411 0.2500
O 0.2004 0.7473 0.4532
O 0.2059 0.2527 0.9532
O 0.2211 0.2387 0.5176
O 0.2211 0.7035 0.9824
O 0.7789 0.2965 0.0176
O 0.7789 0.7613 0.4824
O 0.7941 0.7473 0.0468
O 0.7996 0.2527 0.5468

The 10 most intense peaks (10° ≤ 2θ ≤ 90°), by angle:
| Position (°2θ) | Rel. int. |
| --- | --- |
| 16.51 | 45 |
| 26.30 | 22 |
| 27.56 | 27 |
| 30.19 | 100 |
| 31.17 | 53 |
| 31.34 | 23 |
| 31.78 | 25 |
| 37.61 | 20 |
| 50.39 | 21 |
| 54.13 | 44 |

(5)
Structure and simulated X-ray powder pattern of Sm2ScAl3 (a crystal structure in Alexandria, relaxed with PBE; Cu Kα (weighted mean of Kα1 and Kα2)).
Intensities are scaled so that the largest is 100.

Atomic structure:
a = 5.8761 Å, b = 5.8761 Å, c = 9.2257 Å
α = 90.00°, β = 90.00°, γ = 120.00°
Atoms (fractional coordinates):
Sm 0.3333 0.6667 0.0622
Sm 0.3333 0.6667 0.4378
Sm 0.6667 0.3333 0.5622
Sm 0.6667 0.3333 0.9378
Sc 0.0000 0.0000 0.0000
Sc 0.0000 0.0000 0.5000
Al 0.1738 0.3476 0.7500
Al 0.1738 0.8262 0.7500
Al 0.3476 0.1738 0.2500
Al 0.6524 0.8262 0.7500
Al 0.8262 0.1738 0.2500
Al 0.8262 0.6524 0.2500

The 10 most intense peaks (10° ≤ 2θ ≤ 90°), by angle:
| Position (°2θ) | Rel. int. |
| --- | --- |
| 17.43 | 32 |
| 19.24 | 30 |
| 19.93 | 28 |
| 30.42 | 97 |
| 34.06 | 100 |
| 36.25 | 97 |
| 36.64 | 33 |
| 56.43 | 44 |
| 57.92 | 25 |
| 62.14 | 24 |

(6)
Structure and simulated X-ray powder pattern of CaMg22Ag6 (a crystal structure in Alexandria, relaxed with PBE; Cu Kα (weighted mean of Kα1 and Kα2)).
Intensities are scaled so that the largest is 100.

Atomic structure:
a = 9.8143 Å, b = 9.8143 Å, c = 9.8143 Å
α = 60.00°, β = 60.00°, γ = 60.00°
Atoms (fractional coordinates):
Ca 0.0000 0.0000 0.0000
Mg 0.0000 0.0000 0.3491
Mg 0.0000 0.0000 0.6509
Mg 0.0000 0.3491 0.0000
Mg 0.0000 0.3491 0.6509
Mg 0.0000 0.6509 0.0000
Mg 0.0000 0.6509 0.3491
Mg 0.1464 0.6179 0.6179
Mg 0.2500 0.2500 0.2500
Mg 0.3491 0.0000 0.0000
Mg 0.3491 0.0000 0.6509
Mg 0.3491 0.6509 0.0000
Mg 0.3821 0.3821 0.3821
Mg 0.3821 0.3821 0.8536
Mg 0.3821 0.8536 0.3821
Mg 0.6179 0.1464 0.6179
Mg 0.6179 0.6179 0.1464
Mg 0.6179 0.6179 0.6179
Mg 0.6509 0.0000 0.0000
Mg 0.6509 0.0000 0.3491
Mg 0.6509 0.3491 0.0000
Mg 0.7500 0.7500 0.7500
Mg 0.8536 0.3821 0.3821
Ag 0.2642 0.2642 0.7358
Ag 0.2642 0.7358 0.2642
Ag 0.2642 0.7358 0.7358
Ag 0.7358 0.2642 0.2642
Ag 0.7358 0.2642 0.7358
Ag 0.7358 0.7358 0.2642

The 10 most intense peaks (10° ≤ 2θ ≤ 90°), by angle:
| Position (°2θ) | Rel. int. |
| --- | --- |
| 12.76 | 40 |
| 18.08 | 32 |
| 22.19 | 100 |
| 25.67 | 57 |
| 33.55 | 38 |
| 36.63 | 100 |
| 38.93 | 27 |
| 43.24 | 83 |
| 57.92 | 26 |
| 65.94 | 36 |

(7)
Structure and simulated X-ray powder pattern of Ca6CdGa5 (a crystal structure in Alexandria, relaxed with PBE; Cu Kα (weighted mean of Kα1 and Kα2)).
Intensities are scaled so that the largest is 100.

Atomic structure:
a = 5.2182 Å, b = 7.4315 Å, c = 8.2361 Å
α = 90.00°, β = 107.83°, γ = 90.00°
Atoms (fractional coordinates):
Ca 0.0000 0.2418 0.0000
Ca 0.0000 0.7582 0.0000
Ca 0.3307 0.2460 0.6609
Ca 0.3307 0.7540 0.6609
Ca 0.6693 0.2460 0.3391
Ca 0.6693 0.7540 0.3391
Cd 0.5000 0.5000 0.0000
Ga 0.1628 0.5000 0.3282
Ga 0.1655 0.0000 0.3319
Ga 0.5000 0.0000 0.0000
Ga 0.8345 0.0000 0.6681
Ga 0.8372 0.5000 0.6718

The 10 most intense peaks (10° ≤ 2θ ≤ 90°), by angle:
| Position (°2θ) | Rel. int. |
| --- | --- |
| 23.96 | 12 |
| 34.13 | 51 |
| 34.34 | 100 |
| 42.30 | 6 |
| 49.05 | 17 |
| 49.65 | 8 |
| 61.24 | 34 |
| 61.63 | 17 |
| 72.34 | 8 |
| 82.03 | 7 |

(8)
Structure and simulated X-ray powder pattern of PmUO4F (a crystal structure in Alexandria, relaxed with PBE; Cu Kα (weighted mean of Kα1 and Kα2)).
Intensities are scaled so that the largest is 100.

Atomic structure:
a = 6.1904 Å, b = 6.1904 Å, c = 6.7355 Å
α = 95.72°, β = 95.72°, γ = 71.17°
Atoms (fractional coordinates):
Pm 0.1909 0.1909 0.0749
Pm 0.8091 0.8091 0.9251
U 0.3593 0.3593 0.6287
U 0.6407 0.6407 0.3713
O 0.1235 0.4906 0.8351
O 0.1950 0.1950 0.4612
O 0.4390 0.4390 0.3122
O 0.4906 0.1235 0.8351
O 0.5094 0.8765 0.1649
O 0.5610 0.5610 0.6878
O 0.8050 0.8050 0.5388
O 0.8765 0.5094 0.1649
F 0.0236 0.0236 0.8205
F 0.9764 0.9764 0.1795

The 10 most intense peaks (10° ≤ 2θ ≤ 90°), by angle:
| Position (°2θ) | Rel. int. |
| --- | --- |
| 17.75 | 32 |
| 20.89 | 100 |
| 23.50 | 48 |
| 24.71 | 93 |
| 29.83 | 65 |
| 31.08 | 65 |
| 31.78 | 28 |
| 47.61 | 26 |
| 47.68 | 26 |
| 57.98 | 32 |